Theoretical powder X-ray diffraction pattern
Compound: Rb3Ta
Radiation: Cu Kα (λ = 1.5418 Å)
Structure: a cell relaxed with GGA-PBE
Neutral-atom scattering factors, no anomalous dispersion.

Atomic structure:
Lattice parameters (Å, degrees): 6.6696 6.6696 6.6696 60.00 60.00 60.00
Sites, in units of the cell vectors:
Rb: 0.0000 0.0000 0.0000
Rb: 0.2500 0.2500 0.2500
Rb: 0.7500 0.7500 0.7500
Ta: 0.5000 0.5000 0.5000

Top 10 peaks for 15° ≤ 2θ ≤ 90°, low angle first:
2θ (°), I (rel.)
16.28, 9
18.82, 5
26.73, 100
31.46, 6
38.16, 19
47.21, 42
55.08, 13
62.25, 18
75.41, 21
87.82, 11


Theoretical powder X-ray diffraction pattern
Compound: La2CoSi3
Radiation: Cu Kα (λ = 1.5418 Å)
Structure: a cell relaxed with GGA-PBE
Neutral-atom scattering factors, no anomalous dispersion.

Atomic structure:
Lattice parameters (Å, degrees): 4.0701 4.0701 8.7640 90.00 90.00 120.00
Sites, in units of the cell vectors:
La: 0.0000 0.0000 0.2435
La: 0.0000 0.0000 0.7565
Co: 0.3333 0.6667 0.0000
Si: 0.3333 0.6667 0.5000
Si: 0.6667 0.3333 0.0000
Si: 0.6667 0.3333 0.5000

Top 10 peaks for 15° ≤ 2θ ≤ 90°, low angle first:
2θ (°), I (rel.)
20.27, 6
25.27, 32
32.60, 100
41.20, 12
44.52, 30
48.95, 10
56.26, 21
62.27, 22
69.68, 10
74.43, 18


Theoretical powder X-ray diffraction pattern
Compound: ZnSnP2O7
Radiation: Cu Kα (λ = 1.5418 Å)
Structure: a cell relaxed with GGA-PBE
Neutral-atom scattering factors, no anomalous dispersion.

Atomic structure:
Lattice parameters (Å, degrees): 6.6968 6.8565 7.0349 85.48 79.93 66.71
Sites, in units of the cell vectors:
Zn: 0.0954 0.3473 0.3126
Zn: 0.9046 0.6527 0.6874
Sn: 0.2391 0.8846 0.8456
Sn: 0.7609 0.1154 0.1544
P: 0.2466 0.7752 0.3845
P: 0.3252 0.3338 0.8742
P: 0.6748 0.6662 0.1258
P: 0.7534 0.2248 0.6155
O: 0.1103 0.6321 0.4265
O: 0.1186 0.9958 0.3019
O: 0.1474 0.5550 0.8494
O: 0.3039 0.1684 0.7570
O: 0.3457 0.2758 0.0899
O: 0.3603 0.7825 0.5525
O: 0.4421 0.6459 0.2136
O: 0.5579 0.3541 0.7864
O: 0.6397 0.2175 0.4475
O: 0.6543 0.7242 0.9101
O: 0.6961 0.8316 0.2430
O: 0.8526 0.4450 0.1506
O: 0.8814 0.0042 0.6981
O: 0.8897 0.3679 0.5735

Top 10 peaks for 15° ≤ 2θ ≤ 90°, low angle first:
2θ (°), I (rel.)
19.15, 54
20.91, 49
26.21, 85
26.33, 100
27.57, 62
28.17, 74
29.41, 46
31.68, 99
34.21, 40
38.45, 39


Theoretical powder X-ray diffraction pattern
Compound: LaNi4Pt
Radiation: Cu Kα (λ = 1.5418 Å)
Structure: a cell relaxed with GGA-PBE
Neutral-atom scattering factors, no anomalous dispersion.

Atomic structure:
Lattice parameters (Å, degrees): 5.1812 5.1812 4.0360 90.00 90.00 123.23
Sites, in units of the cell vectors:
La: 0.0000 0.0000 0.0000
Ni: 0.0000 0.5000 0.5000
Ni: 0.3170 0.6830 0.0000
Ni: 0.5000 0.0000 0.5000
Ni: 0.6830 0.3170 0.0000
Pt: 0.5000 0.5000 0.5000

Top 10 peaks for 15° ≤ 2θ ≤ 90°, low angle first:
2θ (°), I (rel.)
20.49, 17
30.26, 86
36.48, 19
39.54, 28
41.47, 100
41.68, 33
44.92, 33
47.63, 24
62.93, 20
69.05, 22


Theoretical powder X-ray diffraction pattern
Compound: BaTe2P4
Radiation: Cu Kα (λ = 1.5418 Å)
Structure: a cell relaxed with GGA-PBE
Neutral-atom scattering factors, no anomalous dispersion.

Atomic structure:
Lattice parameters (Å, degrees): 16.6804 6.5302 7.2469 90.00 90.00 90.00
Sites, in units of the cell vectors:
Ba: 0.1620 0.2500 0.1014
Ba: 0.3380 0.7500 0.6014
Ba: 0.6620 0.2500 0.3986
Ba: 0.8380 0.7500 0.8986
Te: 0.0635 0.7500 0.9375
Te: 0.2466 0.2500 0.5929
Te: 0.2534 0.7500 0.0929
Te: 0.4365 0.2500 0.4375
Te: 0.5635 0.7500 0.5625
Te: 0.7466 0.2500 0.9071
Te: 0.7534 0.7500 0.4071
Te: 0.9365 0.2500 0.0625
P: 0.0652 0.0079 0.4647
P: 0.0652 0.4921 0.4647
P: 0.0959 0.2500 0.6681
P: 0.1213 0.7500 0.6205
P: 0.3787 0.2500 0.1205
P: 0.4041 0.7500 0.1681
P: 0.4348 0.5079 0.9647
P: 0.4348 0.9921 0.9647
P: 0.5652 0.0079 0.0353
P: 0.5652 0.4921 0.0353
P: 0.5959 0.2500 0.8319
P: 0.6213 0.7500 0.8795
P: 0.8787 0.2500 0.3795
P: 0.9041 0.7500 0.3319
P: 0.9348 0.5079 0.5353
P: 0.9348 0.9921 0.5353

Top 10 peaks for 15° ≤ 2θ ≤ 90°, low angle first:
2θ (°), I (rel.)
24.59, 33
25.15, 40
25.34, 41
27.31, 51
28.68, 27
29.41, 25
30.50, 36
32.57, 100
37.47, 33
51.70, 28